# PmBe17Nb
Calculated powder diffractogram, Cu Kα (λ = 1.5418 Å). Input: DFT lattice parameters and positions (GGA-PBE).
Intensities are scaled so that the largest is 100.

Crystal structure
```
data_PmBe17Nb
_space_group_name_H-M_alt 'R 3 m'
_space_group_IT_number 160
_space_group_name_Hall 'R 3 -2"'
_cell_length_a 7.5800
_cell_length_b 7.5800
_cell_length_c 11.0879
_cell_angle_alpha 90.00
_cell_angle_beta 90.00
_cell_angle_gamma 120.00
loop_
_atom_site_label
_atom_site_type_symbol
_atom_site_fract_x
_atom_site_fract_y
_atom_site_fract_z
_atom_site_occupancy
Pm1 Pm 0.0000 0.0000 0.0000 1
Be1 Be 0.0000 0.0000 0.5626 1
Be2 Be 0.0000 0.0000 0.7525 1
Be3 Be 0.0056 0.5028 0.1591 1
Be4 Be 0.0514 0.3806 0.3288 1
Be5 Be 0.1690 0.3381 0.1551 1
Be6 Be 0.1691 0.3381 0.8382 1
Nb1 Nb 0.0000 0.0000 0.3277 1
```

Top 6 peaks for 2θ from 10° to 90°, in order of rising 2θ:
index, 2θ/deg, Rel. int.
1 0 1, 15.69, 67
0 1 2, 20.97, 34
1 1 0, 23.47, 100
1 1 3, 33.88, 96
3 0 0, 41.26, 33
3 0 3, 48.34, 48